This entry pairs a crystal structure of Na3Hg2 with its calculated X-ray diffraction stick pattern. Radiation: CuKα. Structure: a GGA-PBE-relaxed structure.
Lines closer than 0.1° are merged.

Top 10 peaks for 5 to 70 degrees two-theta, sorted by position:
| h k l | Position (°2θ) | d_spacing | intensity |
| --- | --- | --- | --- |
| 1 1 0 | 13.8 | 6.412 | 66 |
| 2 1 0 | 21.9 | 4.055 | 100 |
| 0 0 2 | 25.2 | 3.535 | 22 |
| 1 1 2 | 28.8 | 3.096 | 25 |
| 3 1 0 | 31.2 | 2.867 | 44 |
| 2 1 2 | 33.6 | 2.664 | 96 |
| 3 2 0 | 35.7 | 2.515 | 28 |
| 4 0 0 | 39.8 | 2.267 | 27 |
| 3 2 2 | 44.2 | 2.049 | 27 |
| 4 0 2 | 47.7 | 1.908 | 25 |

Structural model:
Cell: 9.0677 9.0677 7.0698 Å, 90.00 90.00 90.00°
Space group P4_2/mnm (No. 136)
Symmetry-distinct sites (fractional):
Na (0.0000, 0.5000, 0.0000) (multiplicity 4)
Na (0.1423, 0.1423, 0.0000) (multiplicity 4)
Na (0.1828, 0.1828, 0.5000) (multiplicity 4)
Hg (0.1304, 0.8696, 0.2884) (multiplicity 8)